Structure and theoretical powder diffractogram of Li3Ac3NiO8 (a DFT-relaxed cell (PBE+U, Alexandria); Cu Kα (weighted mean of Kα1 and Kα2)).
Peak positions follow from Bragg's law for the DFT cell and can differ from measured ones.

Most intense lines, 2θ = 10–90°, by angle:
hkl 1 1 1, 20.92°, I = 100; hkl -1 1 1, 24.21°, I = 63; hkl 1 -1 1, 29.43°, I = 40; hkl 1 1 -1, 30.21°, I = 39; hkl 0 2 0, 30.39°, I = 62; hkl 2 0 0, 31.11°, I = 26; hkl 0 2 2, 33.26°, I = 39; hkl 2 0 2, 41.64°, I = 23; hkl 2 2 2, 42.56°, I = 17; hkl 2 2 0, 42.75°, I = 20; hkl 2 -2 0, 45.27°, I = 18; hkl 2 0 -2, 46.40°, I = 16

Cell and atoms:
```
Li3Ac3NiO8
1.0
5.813 0.000 0.000
0.682 6.436 0.000
0.884 2.594 5.876
Li Ac Ni O
3 3 1 8
Cartesian
0.000 0.000 0.000 Li
0.783 4.515 2.938 Li
3.348 1.297 2.938 Li
0.341 3.218 0.000 Ac
2.906 0.000 0.000 Ac
3.689 4.515 2.938 Ac
0.442 1.297 2.938 Ni
2.068 3.583 4.494 O
1.678 1.600 1.591 O
2.443 6.605 3.743 O
2.071 4.803 1.105 O
5.307 4.227 4.770 O
4.935 2.425 2.133 O
5.699 7.430 4.285 O
5.310 5.447 1.382 O
```